For CaMn2P4O14, a DFT-relaxed cell (PBE+U, Alexandria) gives the calculated powder diffraction line list in this record (Cu Ka).
Lines closer than 0.1° are merged.

Cell and atoms:
Cell lengths 5.173, 6.233, 9.554 Å; angles 102.50, 97.72, 104.92 degrees
Element x y z (fractional)
Ca: 0.000 0.000 0.000
Mn: 0.465 0.494 0.339
Mn: 0.909 0.975 0.604
P: 0.052 0.500 0.586
P: 0.335 0.969 0.365
P: 0.428 0.902 0.818
P: 0.928 0.557 0.124
O: 0.094 0.393 0.149
O: 0.116 0.825 0.219
O: 0.191 0.013 0.491
O: 0.200 0.463 0.461
O: 0.220 0.032 0.793
O: 0.271 0.633 0.734
O: 0.484 0.185 0.324
O: 0.513 0.924 0.979
O: 0.540 0.833 0.395
O: 0.669 0.515 0.188
O: 0.689 0.966 0.756
O: 0.849 0.640 0.557
O: 0.880 0.596 0.974
O: 0.886 0.278 0.614

The 10 most intense peaks (2θ = 10–90°), sorted by position:
index	Position (°2θ)	d/Å	intensity
0 1 0	15.24	5.813	25
0 1 -1	15.78	5.616	35
0 1 1	20.14	4.409	34
1 -1 1	22.07	4.028	27
1 0 1	22.26	3.993	15
1 0 -2	23.81	3.736	100
1 0 2	29.30	3.048	76
0 2 0	30.76	2.906	56
1 -2 1	30.94	2.890	28
1 2 2	50.60	1.804	17